# Tl2FePbF6
Simulated powder XRD pattern, Cu Kα, 1.54184 Å. Input: the GGA+U geometry in Alexandria.
No peak broadening, texture or thermal motion is included.

Top 10 peaks for 2θ = 10–80°, sorted by position:
17.4°, rel. 16, hkl 1 1 0; 26.6°, rel. 24, hkl 0 0 2; 27.8°, rel. 100, hkl 1 2 1; 28.9°, rel. 25, hkl 2 0 0; 39.7°, rel. 40, hkl 0 4 0; 44.1°, rel. 9, hkl 2 3 1; 47.8°, rel. 14, hkl 1 2 3; 50.6°, rel. 20, hkl 3 2 1; 57.5°, rel. 14, hkl 2 4 2; 65.0°, rel. 12, hkl 1 6 1

Structure:
Cell: 6.1710 9.0648 6.6944 Å, 90.00 90.00 90.00°
Space group Pmmn (No. 59, origin choice 2)
Symmetry-distinct sites (fractional):
Tl (0.2500, 0.0239, 0.2053)
Fe (0.2500, 0.7500, 0.7730)
Pb (0.2500, 0.2500, 0.7160)
F (0.0090, 0.7500, 0.9974)
F (0.0107, 0.7500, 0.5572)
F (0.2500, 0.5139, 0.7982)